This entry pairs a crystal structure of Fe7Ni6O16 with its theoretical powder X-ray diffraction pattern. Radiation: Cu Ka. Structure: DFT lattice parameters and positions (GGA+U).

Top 10 peaks for 5° ≤ 2θ ≤ 70°, sorted by position:
2θ (°)  I (rel.)
9.1  33
18.1  24
35.2  39
36.6  66
42.5  100
42.9  49
61.3  24
61.7  46
62.1  23
62.2  44

Cell and atoms:
a = 6.0107 Å, b = 6.0107 Å, c = 10.2875 Å
α = 106.59°, β = 106.59°, γ = 60.40°
Element x y z (fractional)
Fe  0.0000  0.0000  0.0000
Fe  0.2503  0.7384  0.2513
Fe  0.2616  0.7497  0.7487
Fe  0.3128  0.3128  0.9242
Fe  0.6872  0.6872  0.0758
Fe  0.7384  0.2503  0.2513
Fe  0.7497  0.2616  0.7487
Ni  0.0000  0.0000  0.5000
Ni  0.0000  0.5000  0.5000
Ni  0.2515  0.2515  0.2486
Ni  0.5000  0.0000  0.5000
Ni  0.5000  0.5000  0.5000
Ni  0.7485  0.7485  0.7514
O  0.1164  0.1164  0.8618
O  0.1192  0.6404  0.8646
O  0.1219  0.1219  0.3742
O  0.1398  0.6221  0.3776
O  0.3596  0.8808  0.1354
O  0.3779  0.8602  0.6224
O  0.3795  0.3795  0.1294
O  0.3830  0.3830  0.6267
O  0.6170  0.6170  0.3733
O  0.6205  0.6205  0.8706
O  0.6221  0.1398  0.3776
O  0.6404  0.1192  0.8646
O  0.8602  0.3779  0.6224
O  0.8781  0.8781  0.6258
O  0.8808  0.3596  0.1354
O  0.8836  0.8836  0.1382